No. 1
Diffraction record for LiCd2Pt. The PXRD pattern is simulated, not measured: it uses DFT lattice parameters and positions (PBE) and Cu Kα (λ = 1.5418 Å).
No peak broadening, texture or thermal motion is included.

```
LiCd2Pt
1.0
6.5725 0.0000 0.0000
0.0000 6.5725 0.0000
0.0000 0.0000 6.5725
Li Cd Pt
4 8 4
direct
0.0000 0.0000 0.0000
0.0000 0.5000 0.5000
0.5000 0.0000 0.5000
0.5000 0.5000 0.0000
0.2500 0.2500 0.2500
0.2500 0.2500 0.7500
0.2500 0.7500 0.2500
0.2500 0.7500 0.7500
0.7500 0.2500 0.2500
0.7500 0.2500 0.7500
0.7500 0.7500 0.2500
0.7500 0.7500 0.7500
0.0000 0.0000 0.5000
0.0000 0.5000 0.0000
0.5000 0.0000 0.0000
0.5000 0.5000 0.5000
```

Largest 8 diffraction maxima, low angle first, 2θ from 10° to 90°:
two_theta, d_spacing, I/Imax
23.44, 3.795, 46
38.75, 2.324, 100
45.79, 1.982, 24
55.96, 1.643, 17
61.50, 1.508, 10
70.15, 1.342, 34
83.14, 1.162, 11
87.88, 1.111, 8



No. 2
Diffraction record for Ca2Mg. The PXRD pattern is simulated, not measured: it uses DFT lattice parameters and positions (PBE) and Cu Kα (λ = 1.5418 Å).
No peak broadening, texture or thermal motion is included.

```
Ca2Mg
1.0
3.7769 0.0000 0.0000
0.0000 18.8972 0.0000
0.0000 0.0000 6.0107
Ca Mg
8 4
direct
0.0000 0.0621 0.2500
0.0000 0.3753 0.2500
0.0000 0.6247 0.7500
0.0000 0.9379 0.7500
0.5000 0.1247 0.7500
0.5000 0.4379 0.7500
0.5000 0.5621 0.2500
0.5000 0.8753 0.2500
0.0000 0.2784 0.7500
0.0000 0.7216 0.2500
0.5000 0.2216 0.2500
0.5000 0.7784 0.7500
```

Largest 8 diffraction maxima, low angle first, 2θ from 10° to 90°:
two_theta, d_spacing, I/Imax
27.54, 3.239, 30
28.32, 3.151, 14
29.73, 3.005, 43
31.37, 2.852, 100
32.08, 2.790, 51
40.97, 2.203, 21
53.80, 1.704, 19
59.02, 1.565, 31



No. 3
Diffraction record for TmLuAg2. The PXRD pattern is simulated, not measured: it uses DFT lattice parameters and positions (PBE) and Cu Kα (λ = 1.5418 Å).
No peak broadening, texture or thermal motion is included.

```
TmLuAg2
1.0
7.1472 0.0000 0.0000
0.0000 7.1472 0.0000
0.0000 0.0000 7.1472
Tm Lu Ag
4 4 8
direct
0.0000 0.0000 0.0000
0.0000 0.5000 0.5000
0.5000 0.0000 0.5000
0.5000 0.5000 0.0000
0.0000 0.0000 0.5000
0.0000 0.5000 0.0000
0.5000 0.0000 0.0000
0.5000 0.5000 0.5000
0.2500 0.2500 0.2500
0.2500 0.2500 0.7500
0.2500 0.7500 0.2500
0.2500 0.7500 0.7500
0.7500 0.2500 0.2500
0.7500 0.2500 0.7500
0.7500 0.7500 0.2500
0.7500 0.7500 0.7500
```

Largest 8 diffraction maxima, low angle first, 2θ from 10° to 90°:
two_theta, d_spacing, I/Imax
24.92, 3.574, 5
35.53, 2.527, 100
43.88, 2.063, 2
51.12, 1.787, 18
57.68, 1.598, 2
63.80, 1.459, 36
75.20, 1.263, 11
86.03, 1.130, 16



No. 4
Diffraction record for MgCuGe. The PXRD pattern is simulated, not measured: it uses DFT lattice parameters and positions (PBE) and Cu Kα (λ = 1.5418 Å).
No peak broadening, texture or thermal motion is included.

```
MgCuGe
1.0
4.0053 0.0000 0.0000
0.0000 4.0053 0.0000
0.0000 0.0000 6.3948
Mg Cu Ge
2 2 2
direct
0.2500 0.7500 0.0000
0.7500 0.2500 0.0000
0.2500 0.2500 0.2980
0.7500 0.7500 0.7020
0.2500 0.2500 0.6780
0.7500 0.7500 0.3220
```

Largest 8 diffraction maxima, low angle first, 2θ from 10° to 90°:
two_theta, d_spacing, I/Imax
27.90, 3.197, 29
31.59, 2.832, 98
34.64, 2.590, 68
42.41, 2.132, 36
42.65, 2.120, 100
45.28, 2.003, 73
53.83, 1.703, 31
63.77, 1.460, 41



No. 5
Diffraction record for KAlP4O12. The PXRD pattern is simulated, not measured: it uses DFT lattice parameters and positions (PBE) and Cu Kα (λ = 1.5418 Å).
No peak broadening, texture or thermal motion is included.

```
KAlP4O12
1.0
8.4258 -6.1950 0.0000
8.4258 6.1950 0.0000
-0.9339 0.0000 5.0588
K Al P O
2 2 8 24
direct
0.0933 0.0933 0.2467
0.9067 0.9067 0.7533
0.0000 0.5000 0.5000
0.5000 0.0000 0.5000
0.1457 0.6979 0.3361
0.1881 0.4310 0.0318
0.3021 0.8543 0.6639
0.4310 0.1881 0.0318
0.5690 0.8119 0.9682
0.6979 0.1457 0.3361
0.8119 0.5690 0.9682
0.8543 0.3021 0.6639
0.0684 0.8215 0.2133
0.0756 0.6424 0.5121
0.0977 0.4043 0.2082
0.1494 0.4126 0.7394
0.1785 0.9316 0.7867
0.2098 0.5767 0.1150
0.2857 0.7143 0.5000
0.3391 0.3391 0.0981
0.3576 0.9244 0.4879
0.4043 0.0977 0.2082
0.4126 0.1494 0.7394
0.4233 0.7902 0.8850
0.5767 0.2098 0.1150
0.5874 0.8506 0.2606
0.5957 0.9023 0.7918
0.6424 0.0756 0.5121
0.6609 0.6609 0.9019
0.7143 0.2857 0.5000
0.7902 0.4233 0.8850
0.8215 0.0684 0.2133
0.8506 0.5874 0.2606
0.9023 0.5957 0.7918
0.9244 0.3576 0.4879
0.9316 0.1785 0.7867
```

Largest 8 diffraction maxima, low angle first, 2θ from 10° to 90°:
two_theta, d_spacing, I/Imax
10.68, 8.286, 42
14.30, 6.195, 100
17.58, 5.045, 53
18.82, 4.715, 43
22.71, 3.915, 92
26.49, 3.364, 28
27.85, 3.204, 48
33.94, 2.641, 68



No. 6
Diffraction record for LiBrN. The PXRD pattern is simulated, not measured: it uses DFT lattice parameters and positions (PBE) and Cu Kα (λ = 1.5418 Å).
No peak broadening, texture or thermal motion is included.

```
LiBrN
1.0
6.6483 0.0000 0.0000
0.0000 6.9378 0.0000
-4.9234 0.0000 6.5870
Li Br N
4 4 4
direct
0.0269 0.1801 0.3897
0.0269 0.3199 0.8897
0.9731 0.6801 0.1103
0.9731 0.8199 0.6103
0.1988 0.6582 0.9488
0.1988 0.8418 0.4488
0.8012 0.1582 0.5512
0.8012 0.3418 0.0512
0.3571 0.1482 0.1308
0.3571 0.3518 0.6308
0.6429 0.6482 0.3692
0.6429 0.8518 0.8692
```

Largest 8 diffraction maxima, low angle first, 2θ from 10° to 90°:
two_theta, d_spacing, I/Imax
18.57, 4.777, 61
21.03, 4.224, 95
25.18, 3.536, 58
27.07, 3.293, 36
27.74, 3.216, 73
29.25, 3.053, 100
30.05, 2.974, 47
37.69, 2.387, 32



No. 7
Diffraction record for Pd4W. The PXRD pattern is simulated, not measured: it uses DFT lattice parameters and positions (PBE) and Cu Kα (λ = 1.5418 Å).
No peak broadening, texture or thermal motion is included.

```
Pd4W
1.0
2.8006 0.0000 0.0000
-1.4003 2.4254 0.0000
0.0000 0.0000 34.1756
Pd W
12 3
direct
0.0000 0.0000 0.1017
0.0000 0.0000 0.2997
0.0000 0.0000 0.7003
0.0000 0.0000 0.8983
0.3333 0.6667 0.3670
0.3333 0.6667 0.5650
0.3333 0.6667 0.7684
0.3333 0.6667 0.9663
0.6667 0.3333 0.0337
0.6667 0.3333 0.2316
0.6667 0.3333 0.4350
0.6667 0.3333 0.6330
0.0000 0.0000 0.5000
0.3333 0.6667 0.1667
0.6667 0.3333 0.8333
```

Largest 8 diffraction maxima, low angle first, 2θ from 10° to 90°:
two_theta, d_spacing, I/Imax
39.42, 2.286, 100
39.55, 2.278, 33
45.88, 1.978, 64
66.81, 1.400, 21
66.99, 1.397, 20
80.48, 1.193, 37
80.68, 1.191, 12
84.84, 1.143, 11



No. 8
Diffraction record for HoNiBi. The PXRD pattern is simulated, not measured: it uses DFT lattice parameters and positions (PBE) and Cu Kα (λ = 1.5418 Å).
No peak broadening, texture or thermal motion is included.

```
HoNiBi
1.0
6.4652 0.0000 0.0000
0.0000 6.4652 0.0000
0.0000 0.0000 6.4652
Ho Ni Bi
4 4 4
direct
0.0000 0.0000 0.0000
0.0000 0.5000 0.5000
0.5000 0.0000 0.5000
0.5000 0.5000 0.0000
0.2500 0.2500 0.7500
0.2500 0.7500 0.2500
0.7500 0.2500 0.2500
0.7500 0.7500 0.7500
0.0000 0.0000 0.5000
0.0000 0.5000 0.0000
0.5000 0.0000 0.0000
0.5000 0.5000 0.5000
```

Largest 8 diffraction maxima, low angle first, 2θ from 10° to 90°:
two_theta, d_spacing, I/Imax
23.84, 3.733, 8
27.59, 3.233, 62
39.42, 2.286, 100
48.80, 1.866, 18
56.98, 1.616, 17
64.45, 1.446, 24
71.49, 1.320, 35
84.84, 1.143, 11